No. 1
# B2AsCl2
Calculated X-ray powder pattern, Cu Kα, 1.54184 Å. Input: a DFT-relaxed cell (GGA-PBE, Alexandria).

Structure:
Cell: 7.4208 7.6107 11.6412 Å, 99.14 101.80 114.71°
Atoms (fractional coordinates):
B 0.0552 0.3953 0.2889
B 0.1031 0.7740 0.8545
B 0.1055 0.2171 0.3486
B 0.1486 0.2616 0.2110
B 0.8514 0.7384 0.7890
B 0.8945 0.7829 0.6514
B 0.8969 0.2260 0.1455
B 0.9448 0.6047 0.7111
As 0.0837 0.0372 0.8138
As 0.2192 0.8425 0.7008
As 0.7808 0.1575 0.2992
As 0.9163 0.9628 0.1862
Cl 0.1478 0.6553 0.3481
Cl 0.2281 0.7514 0.9925
Cl 0.2636 0.2276 0.4866
Cl 0.3707 0.3353 0.1607
Cl 0.6293 0.6647 0.8393
Cl 0.7364 0.7724 0.5134
Cl 0.7719 0.2486 0.0075
Cl 0.8522 0.3447 0.6519

Most intense lines, 10° ≤ 2θ ≤ 80°, by angle:
2θ = 13.32°, I = 40, hkl 0 1 0; 2θ = 13.55°, I = 68, hkl 0 1 -1; 2θ = 13.77°, I = 95, hkl 1 0 0; 2θ = 16.18°, I = 40, hkl 0 0 2; 2θ = 16.44°, I = 42, hkl 1 -1 1; 2θ = 27.25°, I = 93, hkl 0 2 -2; 2θ = 27.59°, I = 44, hkl 2 0 -2; 2θ = 27.77°, I = 65, hkl -1 1 3; 2θ = 28.23°, I = 45, hkl 2 -2 0; 2θ = 28.66°, I = 100, hkl 1 -1 3

No. 2
# BAsP2Cl
Calculated X-ray powder pattern, Cu Kα, 1.54184 Å. Input: a DFT-relaxed cell (GGA-PBE, Alexandria).

Structure:
Cell: 3.3623 4.4464 7.6068 Å, 75.06 87.62 83.00°
Atoms (fractional coordinates):
B 0.0000 0.0000 0.0000
As 0.5283 0.9049 0.3692
P 0.5448 0.7482 0.0930
P 0.9676 0.2410 0.1930
Cl 0.0026 0.2029 0.7624

Most intense lines, 10° ≤ 2θ ≤ 80°, by angle:
2θ = 12.04°, I = 100, hkl 0 0 1; 2θ = 20.82°, I = 46, hkl 0 1 0; 2θ = 21.24°, I = 20, hkl 0 1 1; 2θ = 26.70°, I = 33, hkl 0 1 -1; 2θ = 27.71°, I = 57, hkl 0 1 2; 2θ = 29.28°, I = 30, hkl 1 0 1; 2θ = 32.09°, I = 38, hkl 1 1 0; 2θ = 36.03°, I = 34, hkl 1 -1 0; 2θ = 36.40°, I = 22, hkl 1 1 -1; 2θ = 47.28°, I = 19, hkl 0 2 -1

Number 1 is which compound? B2AsCl2